Structure and calculated powder diffractogram of MgMn2P2O9 (DFT lattice parameters and positions (GGA+U); Cu Ka).

Main lines, in order of falling intensity (2θ = 10–90°):
index, 2theta, I_rel
1 0 2, 24.5, 1000
1 2 1, 31.7, 540
2 0 1, 17.1, 538
5 0 1, 33.4, 379
1 0 3, 36.4, 345
0 2 0, 28.7, 275
1 1 1, 19.5, 256
5 2 3, 57.0, 227
4 0 1, 27.5, 227
0 4 0, 59.4, 188

Structural model:
Cell: 14.377 6.227 7.518 Å, 90.00 90.00 90.00°
Space group Pnma (No. 62)
One atom of each set of equivalent atoms:
Mg (0.226, 0.250, 0.149) (multiplicity 4)
Mn (0.000, 0.000, 0.000) (multiplicity 4)
Mn (0.116, 0.250, 0.644) (multiplicity 4)
P (0.070, 0.750, 0.624) (multiplicity 4)
P (0.198, 0.750, 0.082) (multiplicity 4)
O (0.001, 0.750, 0.473) (multiplicity 4)
O (0.020, 0.750, 0.806) (multiplicity 4)
O (0.043, 0.250, 0.876) (multiplicity 4)
O (0.140, 0.561, 0.612) (multiplicity 8)
O (0.141, 0.537, 0.092) (multiplicity 8)
O (0.237, 0.250, 0.751) (multiplicity 4)
O (0.238, 0.250, 0.417) (multiplicity 4)